1.
FePO4: simulated XRD peak list (Cu Kα X-rays), based on the PBE+U geometry in the Materials Project.
Peak positions follow from Bragg's law for the DFT cell and can differ from measured ones.

Largest 12 diffraction maxima, low angle first, 2θ = 10–90°:
hkl 0 1 0, 2θ 18.1, I = 39; hkl 1 0 0, 2θ 18.9, I = 20; hkl 1 0 1, 2θ 20.3, I = 14; hkl 1 1 0, 2θ 21.0, I = 100; hkl 0 0 2, 2θ 29.2, I = 40; hkl 1 0 2, 2θ 30.0, I = 29; hkl 1 -1 0, 2θ 30.8, I = 45; hkl 1 2 0, 2θ 34.7, I = 15; hkl 2 1 1, 2θ 34.9, I = 17; hkl 2 0 0, 2θ 38.4, I = 13; hkl 2 1 -1, 2θ 42.9, I = 14; hkl 2 3 -1, 2θ 60.6, I = 13

Structural model:
Cell: 5.2440 5.2525 6.3864 Å, 86.32 73.21 68.83°
Space group P-1 (No. 2)
Unique sites:
Fe (0.2438, 0.2971, 0.2930) (multiplicity 2)
P (0.3683, 0.3254, 0.7716) (multiplicity 2)
O (0.1446, 0.4024, 0.6332) (multiplicity 2)
O (0.2287, 0.2443, 0.9989) (multiplicity 2)
O (0.3662, 0.9150, 0.3527) (multiplicity 2)
O (0.4455, 0.5787, 0.7835) (multiplicity 2)


2.
FePO4: simulated XRD peak list (Cu Kα X-rays), based on the PBE+U geometry in the Materials Project.
Peak positions follow from Bragg's law for the DFT cell and can differ from measured ones.

Largest 12 diffraction maxima, low angle first, 2θ = 10–90°:
hkl 1 0 0, 2θ 13.6, I = 43; hkl 0 0 2, 2θ 18.9, I = 68; hkl 1 1 0, 2θ 23.7, I = 100; hkl 2 0 0, 2θ 27.5, I = 46; hkl 1 1 2, 2θ 30.5, I = 99; hkl 1 0 3, 2θ 31.8, I = 53; hkl 2 0 2, 2θ 33.6, I = 47; hkl 3 -1 1, 2θ 37.9, I = 26; hkl 3 -1 2, 2θ 41.5, I = 30; hkl 3 -1 3, 2θ 47.1, I = 31; hkl 2 1 5, 2θ 62.3, I = 23; hkl 4 1 0, 2θ 65.9, I = 22

Structural model:
Cell: 7.5015 7.5015 9.3817 Å, 90.00 90.00 120.00°
Space group P31c (No. 159)
Unique sites:
Fe (0.0602, 0.6151, 0.0000) (multiplicity 6)
P (0.0000, 0.0000, 0.4496) (multiplicity 2)
P (0.3333, 0.6667, 0.2983) (multiplicity 2)
P (0.3333, 0.6667, 0.6900) (multiplicity 2)
O (0.0000, 0.0000, 0.2920) (multiplicity 2)
O (0.1049, 0.8800, 0.0160) (multiplicity 6)
O (0.1116, 0.5283, 0.6391) (multiplicity 6)
O (0.1331, 0.6550, 0.3468) (multiplicity 6)
O (0.3333, 0.6667, 0.1251) (multiplicity 2)
O (0.3333, 0.6667, 0.8633) (multiplicity 2)


3.
FePO4: simulated XRD peak list (Cu Kα X-rays), based on the PBE+U geometry in the Materials Project.
Peak positions follow from Bragg's law for the DFT cell and can differ from measured ones.

Largest 12 diffraction maxima, low angle first, 2θ = 10–90°:
hkl 2 0 0, 2θ 19.0, I = 8; hkl 1 1 0, 2θ 19.2, I = 15; hkl 2 0 -2, 2θ 24.1, I = 20; hkl 1 1 -2, 2θ 24.3, I = 100; hkl 1 1 4, 2θ 35.7, I = 6; hkl 2 2 0, 2θ 38.9, I = 6; hkl 3 1 -4, 2θ 45.2, I = 10; hkl 3 1 4, 2θ 45.4, I = 8; hkl 0 2 4, 2θ 45.5, I = 8; hkl 1 3 2, 2θ 54.7, I = 4; hkl 2 2 -6, 2θ 61.2, I = 7; hkl 2 2 6, 2θ 61.4, I = 6

Structural model:
Cell: 9.3313 5.3388 11.9882 Å, 90.00 90.26 90.00°
Space group C2 (No. 5)
Unique sites:
Fe (0.0000, 0.0000, 0.0000) (multiplicity 2)
Fe (0.2504, 0.2468, 0.6649) (multiplicity 4)
P (0.0000, 0.9962, 0.5000) (multiplicity 2)
P (0.2484, 0.7476, 0.8309) (multiplicity 4)
O (0.0932, 0.8249, 0.4265) (multiplicity 4)
O (0.0936, 0.1679, 0.5736) (multiplicity 4)
O (0.1173, 0.1892, 0.0976) (multiplicity 4)
O (0.1183, 0.8070, 0.9033) (multiplicity 4)
O (0.2088, 0.4712, 0.2436) (multiplicity 4)
O (0.2097, 0.5207, 0.7569) (multiplicity 4)


4.
Fe2P2O7: simulated XRD peak list (Cu Kα X-rays), based on the PBE+U geometry in the Materials Project.
Peak positions follow from Bragg's law for the DFT cell and can differ from measured ones.

Largest 12 diffraction maxima, low angle first, 2θ = 10–90°:
hkl 1 0 0, 2θ 20.0, I = 14; hkl 1 0 1, 2θ 28.5, I = 38; hkl 1 -1 1, 2θ 28.7, I = 62; hkl 1 1 -1, 2θ 29.3, I = 72; hkl 1 1 0, 2θ 29.4, I = 28; hkl -1 1 1, 2θ 29.6, I = 100; hkl 0 0 2, 2θ 33.4, I = 44; hkl 0 2 -1, 2θ 35.1, I = 15; hkl 1 -1 2, 2θ 40.8, I = 17; hkl -1 2 1, 2θ 43.3, I = 15; hkl 2 0 -2, 2θ 47.8, I = 15; hkl 2 -1 2, 2θ 56.0, I = 16

Structural model:
Cell: 4.5824 5.2976 5.6304 Å, 103.46 98.57 99.32°
Space group P1 (No. 1)
Unique sites:
Fe (0.0000, 0.0000, 0.0000) (multiplicity 1)
Fe (0.0394, 0.3506, 0.5946) (multiplicity 1)
P (0.4332, 0.8878, 0.5015) (multiplicity 1)
P (0.6152, 0.4634, 0.0794) (multiplicity 1)
O (0.2443, 0.0535, 0.3764) (multiplicity 1)
O (0.2544, 0.7269, 0.6438) (multiplicity 1)
O (0.3115, 0.2938, 0.9262) (multiplicity 1)
O (0.5290, 0.6902, 0.2805) (multiplicity 1)
O (0.7345, 0.0530, 0.6635) (multiplicity 1)
O (0.7989, 0.3035, 0.2165) (multiplicity 1)
O (0.8008, 0.6098, 0.9281) (multiplicity 1)